Entry 1:
Structure and theoretical XRD peak list of K3Cd3Au (a structure optimized by DFT (PBE); copper Kα).

Principal peaks in the range 15° ≤ 2θ ≤ 90°, in order of rising 2θ:
Position (°2θ)  intensity  hkl
19.08  100  1 1 0
27.10  52  1 1 3
27.90  34  3 1 -1
33.58  100  4 0 -5
33.91  94  3 1 2
35.36  70  0 2 0
41.22  33  1 1 6
41.44  42  1 1 -7
49.55  64  4 2 -5
54.83  34  7 1 -3

Crystal structure
Cell: 12.424 5.077 17.109 Å, 90.00 110.38 90.00°
Space group C2/m (No. 12)
Inequivalent atoms, fractional coordinates:
K 0.027 0.000 0.389 (multiplicity 4)
K 0.110 0.000 0.920 (multiplicity 4)
K 0.236 0.500 0.757 (multiplicity 4)
Cd 0.061 0.500 0.241 (multiplicity 4)
Cd 0.098 0.500 0.080 (multiplicity 4)
Cd 0.160 0.500 0.535 (multiplicity 4)
Au 0.244 0.500 0.394 (multiplicity 4)

=====

Entry 2:
Structure and theoretical XRD peak list of Sb2RuSe (a structure optimized by DFT (PBE); copper Kα).

Principal peaks in the range 15° ≤ 2θ ≤ 90°, in order of rising 2θ:
Position (°2θ)  intensity  hkl
20.97  33  0 1 1
29.35  39  0 1 3
35.49  35  1 0 3
37.39  100  1 1 2
39.98  33  0 2 0
43.91  23  0 0 6
45.46  28  1 1 4
54.52  20  1 2 3
60.88  17  0 2 6
70.81  21  1 1 8

Crystal structure
Cell: 3.202 4.510 12.373 Å, 90.00 90.00 90.00°
Space group Immm (No. 71)
Inequivalent atoms, fractional coordinates:
Sb 0.000 0.000 0.179 (multiplicity 4)
Ru 0.000 0.500 0.500 (multiplicity 2)
Se 0.000 0.500 0.000 (multiplicity 2)

=====

Entry 3:
Structure and theoretical XRD peak list of Co8NiH4 (a structure optimized by DFT (PBE); copper Kα).

Principal peaks in the range 15° ≤ 2θ ≤ 90°, in order of rising 2θ:
Position (°2θ)  intensity  hkl
40.96  37  1 1 1
43.87  50  6 0 -3
45.29  100  2 0 -4
47.63  28  4 0 1
47.80  54  3 1 -3
57.51  10  5 1 -4
73.94  19  1 1 4
74.08  10  0 2 0
79.79  11  9 1 -3
90.00  11  7 1 1

Crystal structure
Cell: 12.475 2.560 8.555 Å, 90.00 129.36 90.00°
Space group C2/m (No. 12)
Inequivalent atoms, fractional coordinates:
Co 0.037 0.000 0.242 (multiplicity 4)
Co 0.127 0.500 0.092 (multiplicity 4)
Co 0.164 0.500 0.826 (multiplicity 4)
Co 0.201 0.500 0.576 (multiplicity 4)
Ni 0.000 0.000 0.500 (multiplicity 2)
H 0.148 0.000 0.963 (multiplicity 4)
H 0.167 0.500 0.333 (multiplicity 4)

=====

Entry 4:
Structure and theoretical XRD peak list of HgSb2Pb9 (a structure optimized by DFT (PBE); copper Kα).

Principal peaks in the range 15° ≤ 2θ ≤ 90°, in order of rising 2θ:
Position (°2θ)  intensity  hkl
27.53  65  2 0 -2
30.29  52  0 2 0
30.67  100  1 1 2
41.38  90  2 2 -2
41.97  43  3 1 0
54.04  21  1 3 2
61.49  14  1 3 -4
61.93  21  3 3 0
63.86  13  2 2 4
65.55  12  3 1 -6

Crystal structure
Cell: 7.251 5.902 9.398 Å, 90.00 106.93 90.00°
Space group P2/m (No. 10)
Inequivalent atoms, fractional coordinates:
Hg 0.000 0.000 0.000 (multiplicity 1)
Sb 0.347 0.000 0.342 (multiplicity 2)
Pb 0.000 0.000 0.500 (multiplicity 1)
Pb 0.166 0.500 0.667 (multiplicity 2)
Pb 0.172 0.500 0.171 (multiplicity 2)
Pb 0.343 0.000 0.830 (multiplicity 2)
Pb 0.500 0.500 0.000 (multiplicity 1)
Pb 0.500 0.500 0.500 (multiplicity 1)

=====

Entry 5:
Structure and theoretical XRD peak list of AcSm2Rh2 (a structure optimized by DFT (PBE); copper Kα).

Principal peaks in the range 15° ≤ 2θ ≤ 90°, in order of rising 2θ:
Position (°2θ)  intensity  hkl
26.25  84  1 0 -2
27.22  40  0 2 -2
27.59  65  0 2 1
27.97  46  1 -2 0
29.32  100  0 0 3
29.99  42  1 -2 1
32.46  85  1 -1 2
34.85  43  1 1 -3
35.86  52  0 3 0
44.47  57  -2 1 1

Crystal structure
Cell: 4.075 7.960 9.589 Å, 98.87 102.18 104.70°
Space group P-1 (No. 2)
Inequivalent atoms, fractional coordinates:
Ac 0.174 0.047 0.301 (multiplicity 2)
Sm 0.326 0.697 0.957 (multiplicity 2)
Sm 0.475 0.600 0.353 (multiplicity 2)
Rh 0.084 0.325 0.839 (multiplicity 2)
Rh 0.147 0.666 0.628 (multiplicity 2)

=====

Entry 6:
Structure and theoretical XRD peak list of Nd4P2SeS (a structure optimized by DFT (PBE); copper Kα).

Principal peaks in the range 15° ≤ 2θ ≤ 90°, in order of rising 2θ:
Position (°2θ)  intensity  hkl
26.22  54  1 1 2
30.36  100  2 0 0
43.47  73  2 2 0
51.39  8  1 1 6
51.52  18  3 1 2
53.95  25  2 2 4
63.24  8  4 0 0
71.57  10  2 0 8
71.75  22  4 2 0
79.85  16  4 2 4

Crystal structure
Cell: 5.881 5.881 11.800 Å, 90.00 90.00 90.00°
Space group I-4m2 (No. 119)
Inequivalent atoms, fractional coordinates:
Nd 0.000 0.000 0.242 (multiplicity 4)
Nd 0.000 0.500 0.505 (multiplicity 4)
P 0.000 0.000 0.000 (multiplicity 2)
P 0.000 0.500 0.750 (multiplicity 2)
Se 0.000 0.000 0.500 (multiplicity 2)
S 0.000 0.500 0.250 (multiplicity 2)

=====

Entry 7:
Structure and theoretical XRD peak list of Cs2FeBr5 (a structure optimized by DFT (PBE); copper Kα).

Principal peaks in the range 15° ≤ 2θ ≤ 90°, in order of rising 2θ:
Position (°2θ)  intensity  hkl
15.56  35  2 1 -1
18.01  77  0 2 1
18.17  58  2 0 -2
20.51  72  1 2 1
20.97  67  3 0 0
26.60  47  2 1 -3
27.11  48  4 0 -2
29.86  100  1 2 -3
30.27  58  3 2 1
32.27  41  1 4 0

Crystal structure
Cell: 13.705 11.371 10.648 Å, 90.00 111.93 90.00°
Space group P2_1/c (No. 14)
Inequivalent atoms, fractional coordinates:
Cs 0.008 0.118 0.213 (multiplicity 4)
Cs 0.383 0.176 0.088 (multiplicity 4)
Fe 0.302 0.575 0.050 (multiplicity 4)
Br 0.112 0.148 0.951 (multiplicity 4)
Br 0.125 0.615 0.010 (multiplicity 4)
Br 0.310 0.046 0.374 (multiplicity 4)
Br 0.380 0.027 0.758 (multiplicity 4)
Br 0.394 0.748 0.560 (multiplicity 4)